Entry 1:
The following is a calculated powder XRD pattern of Pr7CoBr12. It was derived from a PBE-relaxed structure, using copper Kα.

Principal peaks in the range 10 to 80 degrees two-theta, low angle first:
- (1 0 1), 2θ = 10.5°, I 17
- (1 1 0), 2θ = 11.5°, I 39
- (3 1 2), 2θ = 29.2°, I 100
- (4 -3 4), 2θ = 41.2°, I 36
- (2 5 0), 2θ = 42.5°, I 35
- (8 -6 2), 2θ = 52.4°, I 17
- (7 -2 6), 2θ = 67.8°, I 12
- (10 -1 2), 2θ = 69.6°, I 14

Crystal structure
Cell lengths 15.3500, 15.3500, 10.9025 Å; angles 90.00, 90.00, 120.00 degrees
Space group R-3 (No. 148, hexagonal axes)
Unique sites:
Pr (0.0000, 0.0000, 0.0000)
Pr (0.0399, 0.1634, 0.3581)
Co (0.0000, 0.0000, 0.5000)
Br (0.0225, 0.5846, 0.1566)
Br (0.0431, 0.1689, 0.8356)

Entry 2:
The following is a calculated powder XRD pattern of Ce2SmIn6. It was derived from a PBE-relaxed structure, using copper Kα.

Principal peaks in the range 10 to 80 degrees two-theta, low angle first:
- (1 1 1), 2θ = 32.2°, I 100
- (3 0 0), 2θ = 35.5°, I 81
- (2 2 1), 2θ = 48.6°, I 31
- (0 0 2), 2θ = 50.7°, I 10
- (4 1 1), 2θ = 61.6°, I 30
- (3 0 2), 2θ = 63.4°, I 29
- (3 3 0), 2θ = 63.7°, I 14
- (6 0 0), 2θ = 75.1°, I 9

Crystal structure
Cell lengths 8.7638, 8.7638, 3.6035 Å; angles 90.00, 90.00, 120.00 degrees
Space group P6/mmm (No. 191)
Unique sites:
Ce (0.3333, 0.6667, 0.0000)
Sm (0.0000, 0.0000, 0.0000)
In (0.0000, 0.3327, 0.5000)

Entry 3:
The following is a calculated powder XRD pattern of Pr6CdHg. It was derived from a PBE-relaxed structure, using copper Kα.

Principal peaks in the range 10 to 80 degrees two-theta, low angle first:
- (1 1 4), 2θ = 30.7°, I 100
- (2 0 0), 2θ = 33.5°, I 42
- (0 0 8), 2θ = 39.5°, I 10
- (2 2 0), 2θ = 48.1°, I 15
- (2 0 8), 2θ = 52.8°, I 18
- (3 1 4), 2θ = 58.2°, I 33
- (2 2 8), 2θ = 64.0°, I 10
- (3 3 4), 2θ = 78.8°, I 7

Crystal structure
Cell lengths 5.3486, 5.3486, 18.2427 Å; angles 90.00, 90.00, 90.00 degrees
Space group I4/mmm (No. 139)
Unique sites:
Pr (0.0000, 0.0000, 0.2493)
Pr (0.0000, 0.5000, 0.1105)
Cd (0.0000, 0.0000, 0.0000)
Hg (0.0000, 0.0000, 0.5000)